1.
Calculated X-ray diffraction stick pattern
Compound: Ta2CrNO5
Radiation: Cu Kα, 1.54184 Å
Structure: a PBE+U-relaxed structure
Intensities are scaled so that the largest is 100.

Peak list (10 most intense, 2θ = 15–90°, by angle)
| 2theta | I/Imax |
| --- | --- |
| 21.0 | 16.8 |
| 26.5 | 100.0 |
| 34.5 | 18.7 |
| 34.6 | 38.2 |
| 34.7 | 19.4 |
| 37.8 | 24.7 |
| 52.1 | 15.0 |
| 52.3 | 31.7 |
| 54.5 | 15.9 |
| 61.6 | 15.7 |

Structural model:
```
Ta2CrNO5
1.0
4.765 0.000 0.000
0.000 4.760 0.000
-0.065 0.000 9.259
Ta Cr N O
4 2 2 10
direct
0.232 0.000 0.433 Ta
0.253 0.995 0.089 Ta
0.747 0.495 0.911 Ta
0.768 0.500 0.567 Ta
0.248 0.001 0.753 Cr
0.752 0.501 0.247 Cr
0.054 0.201 0.587 N
0.946 0.701 0.413 N
0.051 0.198 0.922 O
0.061 0.196 0.246 O
0.448 0.802 0.923 O
0.448 0.806 0.586 O
0.451 0.806 0.243 O
0.549 0.306 0.757 O
0.552 0.302 0.077 O
0.552 0.306 0.414 O
0.939 0.696 0.754 O
0.949 0.698 0.078 O
```

---

2.
Calculated X-ray diffraction stick pattern
Compound: VCoP2O8
Radiation: Cu Kα, 1.54184 Å
Structure: a PBE+U-relaxed structure
Intensities are scaled so that the largest is 100.

Peak list (10 most intense, 2θ = 15–90°, by angle)
| 2theta | I/Imax |
| --- | --- |
| 20.6 | 81.3 |
| 24.3 | 100.0 |
| 25.3 | 18.1 |
| 32.0 | 16.4 |
| 33.2 | 69.9 |
| 36.1 | 35.6 |
| 47.5 | 30.6 |
| 49.8 | 25.9 |
| 56.5 | 24.6 |
| 63.0 | 18.5 |

Structural model:
```
VCoP2O8
1.0
4.311 2.489 6.936
-4.311 2.489 6.936
0.000 -4.978 6.936
V Co P O
3 3 6 24
direct
0.000 0.000 0.000 V
0.213 0.213 0.213 V
0.712 0.712 0.712 V
0.359 0.359 0.359 Co
0.500 0.500 0.500 Co
0.856 0.856 0.856 Co
0.106 0.813 0.397 P
0.314 0.604 0.898 P
0.397 0.106 0.813 P
0.604 0.898 0.314 P
0.813 0.397 0.106 P
0.898 0.314 0.604 P
0.038 0.858 0.238 O
0.096 0.297 0.443 O
0.119 0.770 0.920 O
0.166 0.974 0.359 O
0.238 0.038 0.858 O
0.266 0.619 0.409 O
0.297 0.443 0.096 O
0.344 0.547 0.742 O
0.359 0.166 0.974 O
0.409 0.266 0.619 O
0.443 0.096 0.297 O
0.476 0.664 0.861 O
0.547 0.742 0.344 O
0.591 0.940 0.801 O
0.619 0.409 0.266 O
0.664 0.861 0.476 O
0.742 0.344 0.547 O
0.770 0.920 0.119 O
0.801 0.591 0.940 O
0.858 0.238 0.038 O
0.861 0.476 0.664 O
0.920 0.119 0.770 O
0.940 0.801 0.591 O
0.974 0.359 0.166 O
```

---

3.
Calculated X-ray diffraction stick pattern
Compound: Li9Mn2Co5O16
Radiation: Cu Kα, 1.54184 Å
Structure: a PBE+U-relaxed structure
Intensities are scaled so that the largest is 100.

Peak list (10 most intense, 2θ = 15–90°, by angle)
| 2theta | I/Imax |
| --- | --- |
| 18.3 | 100.0 |
| 35.5 | 14.9 |
| 36.2 | 25.8 |
| 37.6 | 11.2 |
| 42.8 | 28.4 |
| 43.9 | 53.2 |
| 57.8 | 9.3 |
| 62.6 | 14.8 |
| 63.3 | 14.6 |
| 80.3 | 9.6 |

Structural model:
```
Li9Mn2Co5O16
1.0
5.182 -2.900 0.000
5.182 2.900 0.000
-1.596 0.000 9.576
Li Mn Co O
9 2 5 16
direct
0.000 0.000 0.000 Li
0.128 0.627 0.732 Li
0.252 0.252 0.492 Li
0.382 0.885 0.258 Li
0.501 0.501 0.997 Li
0.627 0.128 0.732 Li
0.754 0.754 0.488 Li
0.882 0.882 0.246 Li
0.885 0.382 0.258 Li
0.002 0.503 0.998 Mn
0.503 0.002 0.998 Mn
0.125 0.125 0.738 Co
0.248 0.752 0.483 Co
0.380 0.380 0.246 Co
0.623 0.623 0.737 Co
0.752 0.248 0.483 Co
0.068 0.068 0.377 O
0.098 0.564 0.369 O
0.183 0.653 0.116 O
0.189 0.189 0.104 O
0.304 0.304 0.880 O
0.333 0.830 0.870 O
0.436 0.932 0.624 O
0.450 0.450 0.619 O
0.564 0.098 0.369 O
0.570 0.570 0.370 O
0.653 0.183 0.116 O
0.694 0.694 0.104 O
0.810 0.810 0.886 O
0.830 0.333 0.870 O
0.932 0.436 0.624 O
0.949 0.949 0.616 O
```

---

4.
Calculated X-ray diffraction stick pattern
Compound: K4MgMn4O8
Radiation: Cu Kα, 1.54184 Å
Structure: a PBE+U-relaxed structure
Intensities are scaled so that the largest is 100.

Peak list (10 most intense, 2θ = 15–90°, by angle)
| 2theta | I/Imax |
| --- | --- |
| 22.7 | 43.9 |
| 25.1 | 92.5 |
| 30.4 | 74.6 |
| 33.9 | 70.7 |
| 34.0 | 37.5 |
| 36.6 | 68.9 |
| 40.9 | 100.0 |
| 41.5 | 43.0 |
| 41.7 | 56.0 |
| 59.9 | 36.3 |

Structural model:
```
K4MgMn4O8
1.0
6.225 0.000 0.000
-0.026 6.228 0.000
-2.383 -2.431 6.978
K Mg Mn O
4 1 4 8
direct
0.000 0.000 0.000 K
0.009 0.518 0.316 K
0.074 0.070 0.442 K
0.553 0.068 0.129 K
0.218 0.857 0.722 Mg
0.481 0.454 0.872 Mn
0.620 0.591 0.571 Mn
0.628 0.084 0.600 Mn
0.988 0.447 0.843 Mn
0.253 0.212 0.861 O
0.265 0.687 0.907 O
0.388 0.807 0.536 O
0.398 0.355 0.544 O
0.716 0.676 0.898 O
0.728 0.262 0.909 O
0.812 0.344 0.534 O
0.863 0.819 0.583 O
```